1.
The following is a computed powder X-ray diffraction pattern of SmTmZnPt. It was derived from a DFT-relaxed cell (GGA-PBE, Alexandria), using Cu Kα.

Structure:
```
SmTmZnPt
1.0
3.564 0.000 0.000
0.000 3.564 0.000
0.000 0.000 6.994
Sm Tm Zn Pt
1 1 1 1
direct
0.000 0.000 0.000
0.000 0.000 0.515
0.500 0.500 0.273
0.500 0.500 0.735
```

Top 12 peaks for 15 to 90 degrees two-theta, in order of rising 2θ:
28.10°, 3.175 Å, I 6.2, hkl 1 0 1
35.63°, 2.520 Å, I 53.0, hkl 1 1 0
35.98°, 2.496 Å, I 100.0, hkl 1 0 2
51.27°, 1.782 Å, I 18.9, hkl 2 0 0
52.32°, 1.749 Å, I 7.8, hkl 0 0 4
64.22°, 1.450 Å, I 37.1, hkl 2 1 2
64.91°, 1.437 Å, I 16.3, hkl 1 1 4
75.44°, 1.260 Å, I 6.0, hkl 2 2 0
76.30°, 1.248 Å, I 10.2, hkl 2 0 4
86.32°, 1.127 Å, I 8.6, hkl 3 1 0
86.53°, 1.125 Å, I 8.3, hkl 3 0 2
88.18°, 1.108 Å, I 6.5, hkl 1 0 6

2.
The following is a computed powder X-ray diffraction pattern of Sm3UPt12. It was derived from a DFT-relaxed cell (GGA-PBE, Alexandria), using Cu Kα.

Structure:
```
Sm3UPt12
1.0
4.168 0.000 0.000
0.000 4.168 0.000
0.000 0.000 16.619
Sm U Pt
3 1 12
direct
0.000 0.000 0.000
0.000 0.000 0.248
0.000 0.000 0.752
0.000 0.000 0.500
0.000 0.500 0.126
0.000 0.500 0.381
0.000 0.500 0.619
0.000 0.500 0.874
0.500 0.000 0.126
0.500 0.000 0.381
0.500 0.000 0.619
0.500 0.000 0.874
0.500 0.500 0.000
0.500 0.500 0.252
0.500 0.500 0.500
0.500 0.500 0.748
```

Top 8 peaks for 15 to 90 degrees two-theta, in order of rising 2θ:
37.41°, 2.404 Å, I 100.0, hkl 1 1 4
43.42°, 2.084 Å, I 33.3, hkl 2 0 0
43.57°, 2.077 Å, I 16.1, hkl 0 0 8
63.08°, 1.474 Å, I 11.2, hkl 2 2 0
63.20°, 1.471 Å, I 21.7, hkl 2 0 8
75.70°, 1.256 Å, I 26.4, hkl 3 1 4
75.91°, 1.253 Å, I 12.5, hkl 1 1 12
79.79°, 1.202 Å, I 11.3, hkl 2 2 8